No. 1
The following is a theoretical X-ray diffraction stick pattern of Tb16Pr6Nd7. It was derived from a crystal structure in Alexandria, relaxed with PBE, using a wavelength of 1.5418 Å.
Kinematic intensities with the Lorentz-polarization factor, no thermal factor.

Main lines, by intensity (2θ from 5° to 70°):
- 2θ = 31.57°, I = 100.0
- 2θ = 56.21°, I = 26.1
- 2θ = 45.25°, I = 13.8
- 2θ = 28.94°, I = 8.1
- 2θ = 65.91°, I = 7.2
- 2θ = 24.83°, I = 6.5
- 2θ = 33.54°, I = 6.5
- 2θ = 33.05°, I = 5.9
- 2θ = 27.25°, I = 5.9
- 2θ = 35.41°, I = 5.3

Cell and atoms:
```
data_Tb16Pr6Nd7
_symmetry_space_group_name_H-M 'P 1'
_symmetry_Int_Tables_number 1
_symmetry_space_group_name_Hall 'P 1'
_cell_length_a 11.337
_cell_length_b 11.337
_cell_length_c 11.337
_cell_angle_alpha 60.00
_cell_angle_beta 60.00
_cell_angle_gamma 60.00
loop_
_atom_site_label
_atom_site_fract_x
_atom_site_fract_y
_atom_site_fract_z
_atom_site_occupancy
Tb1 0.046 0.651 0.651 1
Tb2 0.129 0.129 0.129 1
Tb3 0.129 0.129 0.613 1
Tb4 0.129 0.613 0.129 1
Tb5 0.349 0.349 0.349 1
Tb6 0.349 0.349 0.954 1
Tb7 0.349 0.954 0.349 1
Tb8 0.387 0.871 0.871 1
Tb9 0.613 0.129 0.129 1
Tb10 0.651 0.046 0.651 1
Tb11 0.651 0.651 0.046 1
Tb12 0.651 0.651 0.651 1
Tb13 0.871 0.387 0.871 1
Tb14 0.871 0.871 0.387 1
Tb15 0.871 0.871 0.871 1
Tb16 0.954 0.349 0.349 1
Pr1 0.265 0.265 0.735 1
Pr2 0.265 0.735 0.265 1
Pr3 0.265 0.735 0.735 1
Pr4 0.735 0.265 0.265 1
Pr5 0.735 0.265 0.735 1
Pr6 0.735 0.735 0.265 1
Nd1 0.000 0.000 0.000 1
Nd2 0.000 0.000 0.500 1
Nd3 0.000 0.500 0.000 1
Nd4 0.000 0.500 0.500 1
Nd5 0.500 0.000 0.000 1
Nd6 0.500 0.000 0.500 1
Nd7 0.500 0.500 0.000 1
```

---

No. 2
The following is a theoretical X-ray diffraction stick pattern of Zr4Hg3Au. It was derived from a crystal structure in Alexandria, relaxed with PBE, using a wavelength of 1.5418 Å.
Kinematic intensities with the Lorentz-polarization factor, no thermal factor.

Main lines, by intensity (2θ from 5° to 70°):
- 2θ = 35.45°, I = 100.0
- 2θ = 40.73°, I = 34.2
- 2θ = 59.95°, I = 21.8
- 2θ = 42.02°, I = 15.6
- 2θ = 20.65°, I = 11.8
- 2θ = 28.49°, I = 11.4
- 2θ = 46.09°, I = 6.7
- 2θ = 58.87°, I = 5.8
- 2θ = 59.05°, I = 5.7
- 2θ = 51.55°, I = 4.9

Cell and atoms:
```
data_Zr4Hg3Au
_symmetry_space_group_name_H-M 'P 1'
_symmetry_Int_Tables_number 1
_symmetry_space_group_name_Hall 'P 1'
_cell_length_a 9.155
_cell_length_b 9.152
_cell_length_c 4.431
_cell_angle_alpha 76.03
_cell_angle_beta 75.96
_cell_angle_gamma 28.01
loop_
_atom_site_label
_atom_site_fract_x
_atom_site_fract_y
_atom_site_fract_z
_atom_site_occupancy
Zr1 0.123 0.123 0.377 1
Zr2 0.377 0.377 0.123 1
Zr3 0.623 0.623 0.877 1
Zr4 0.877 0.877 0.623 1
Hg1 0.000 0.000 0.000 1
Hg2 0.250 0.250 0.750 1
Hg3 0.750 0.750 0.250 1
Au1 0.500 0.500 0.500 1
```

---

No. 3
The following is a theoretical X-ray diffraction stick pattern of LiInPtAu. It was derived from a crystal structure in Alexandria, relaxed with PBE, using a wavelength of 1.5418 Å.
Kinematic intensities with the Lorentz-polarization factor, no thermal factor.

Main lines, by intensity (2θ from 5° to 70°):
- 2θ = 38.48°, I = 100.0
- 2θ = 43.27°, I = 36.0
- 2θ = 30.23°, I = 25.7
- 2θ = 23.25°, I = 24.3
- 2θ = 66.21°, I = 20.4
- 2θ = 24.26°, I = 16.0
- 2θ = 47.53°, I = 13.7
- 2θ = 49.69°, I = 13.6
- 2θ = 62.86°, I = 11.9
- 2θ = 57.37°, I = 9.0

Cell and atoms:
```
data_LiInPtAu
_symmetry_space_group_name_H-M 'P 1'
_symmetry_Int_Tables_number 1
_symmetry_space_group_name_Hall 'P 1'
_cell_length_a 4.836
_cell_length_b 4.836
_cell_length_c 4.836
_cell_angle_alpha 128.76
_cell_angle_beta 128.76
_cell_angle_gamma 75.39
loop_
_atom_site_label
_atom_site_fract_x
_atom_site_fract_y
_atom_site_fract_z
_atom_site_occupancy
Li1 0.000 0.000 0.000 1
In1 0.500 0.500 0.000 1
Pt1 0.750 0.250 0.500 1
Au1 0.250 0.750 0.500 1
```

---

No. 4
The following is a theoretical X-ray diffraction stick pattern of Ba7SnBi2O2. It was derived from a crystal structure in Alexandria, relaxed with PBE, using a wavelength of 1.5418 Å.
Kinematic intensities with the Lorentz-polarization factor, no thermal factor.

Main lines, by intensity (2θ from 5° to 70°):
- 2θ = 29.42°, I = 100.0
- 2θ = 32.89°, I = 61.7
- 2θ = 26.08°, I = 36.1
- 2θ = 56.60°, I = 32.4
- 2θ = 45.25°, I = 30.3
- 2θ = 30.20°, I = 23.3
- 2θ = 47.19°, I = 22.3
- 2θ = 23.87°, I = 20.6
- 2θ = 55.07°, I = 18.7
- 2θ = 57.06°, I = 15.2

Cell and atoms:
```
data_Ba7SnBi2O2
_symmetry_space_group_name_H-M 'P 1'
_symmetry_Int_Tables_number 1
_symmetry_space_group_name_Hall 'P 1'
_cell_length_a 15.291
_cell_length_b 15.291
_cell_length_c 15.291
_cell_angle_alpha 159.48
_cell_angle_beta 159.48
_cell_angle_gamma 29.18
loop_
_atom_site_label
_atom_site_fract_x
_atom_site_fract_y
_atom_site_fract_z
_atom_site_occupancy
Ba1 0.000 0.000 0.000 1
Ba2 0.094 0.594 0.500 1
Ba3 0.199 0.199 0.000 1
Ba4 0.406 0.906 0.500 1
Ba5 0.594 0.094 0.500 1
Ba6 0.801 0.801 0.000 1
Ba7 0.906 0.406 0.500 1
Sn1 0.500 0.500 0.000 1
Bi1 0.320 0.320 0.000 1
Bi2 0.680 0.680 0.000 1
O1 0.095 0.095 0.000 1
O2 0.905 0.905 0.000 1
```

---

No. 5
The following is a theoretical X-ray diffraction stick pattern of InPd4Pb. It was derived from a crystal structure in Alexandria, relaxed with PBE, using a wavelength of 1.5418 Å.
Kinematic intensities with the Lorentz-polarization factor, no thermal factor.

Main lines, by intensity (2θ from 5° to 70°):
- 2θ = 35.97°, I = 100.0
- 2θ = 39.52°, I = 99.1
- 2θ = 41.79°, I = 80.3
- 2θ = 40.80°, I = 52.6
- 2θ = 44.70°, I = 40.1
- 2θ = 37.18°, I = 35.0
- 2θ = 55.49°, I = 32.6
- 2θ = 36.33°, I = 30.7
- 2θ = 29.97°, I = 29.8
- 2θ = 36.62°, I = 28.8

Cell and atoms:
```
data_InPd4Pb
_symmetry_space_group_name_H-M 'P 1'
_symmetry_Int_Tables_number 1
_symmetry_space_group_name_Hall 'P 1'
_cell_length_a 7.433
_cell_length_b 3.312
_cell_length_c 17.691
_cell_angle_alpha 90.00
_cell_angle_beta 90.00
_cell_angle_gamma 90.00
loop_
_atom_site_label
_atom_site_fract_x
_atom_site_fract_y
_atom_site_fract_z
_atom_site_occupancy
In1 0.230 0.250 0.195 1
In2 0.270 0.750 0.695 1
In3 0.730 0.250 0.305 1
In4 0.770 0.750 0.805 1
Pd1 0.023 0.250 0.068 1
Pd2 0.080 0.250 0.797 1
Pd3 0.090 0.250 0.333 1
Pd4 0.153 0.250 0.577 1
Pd5 0.347 0.750 0.077 1
Pd6 0.410 0.750 0.833 1
Pd7 0.420 0.750 0.297 1
Pd8 0.477 0.750 0.568 1
Pd9 0.523 0.250 0.432 1
Pd10 0.580 0.250 0.703 1
Pd11 0.590 0.250 0.167 1
Pd12 0.653 0.250 0.923 1
Pd13 0.847 0.750 0.423 1
Pd14 0.910 0.750 0.667 1
Pd15 0.920 0.750 0.203 1
Pd16 0.977 0.750 0.932 1
Pb1 0.222 0.750 0.447 1
Pb2 0.278 0.250 0.947 1
Pb3 0.722 0.750 0.053 1
Pb4 0.778 0.250 0.553 1
```

---

No. 6
The following is a theoretical X-ray diffraction stick pattern of Nd4SiTe. It was derived from a crystal structure in Alexandria, relaxed with PBE, using a wavelength of 1.5418 Å.
Kinematic intensities with the Lorentz-polarization factor, no thermal factor.

Main lines, by intensity (2θ from 5° to 70°):
- 2θ = 31.00°, I = 100.0
- 2θ = 32.83°, I = 75.6
- 2θ = 30.25°, I = 51.5
- 2θ = 34.60°, I = 44.8
- 2θ = 24.74°, I = 41.8
- 2θ = 33.07°, I = 38.9
- 2θ = 53.07°, I = 28.3
- 2θ = 29.46°, I = 26.9
- 2θ = 34.33°, I = 24.5
- 2θ = 44.26°, I = 23.1

Cell and atoms:
```
data_Nd4SiTe
_symmetry_space_group_name_H-M 'P 1'
_symmetry_Int_Tables_number 1
_symmetry_space_group_name_Hall 'P 1'
_cell_length_a 6.319
_cell_length_b 6.473
_cell_length_c 8.665
_cell_angle_alpha 90.00
_cell_angle_beta 90.84
_cell_angle_gamma 90.00
loop_
_atom_site_label
_atom_site_fract_x
_atom_site_fract_y
_atom_site_fract_z
_atom_site_occupancy
Nd1 0.112 0.250 0.358 1
Nd2 0.157 0.750 0.061 1
Nd3 0.367 0.003 0.688 1
Nd4 0.367 0.497 0.688 1
Nd5 0.633 0.503 0.312 1
Nd6 0.633 0.997 0.312 1
Nd7 0.843 0.250 0.939 1
Nd8 0.888 0.750 0.642 1
Si1 0.219 0.750 0.398 1
Si2 0.781 0.250 0.602 1
Te1 0.334 0.250 0.028 1
Te2 0.666 0.750 0.972 1
```

---

No. 7
The following is a theoretical X-ray diffraction stick pattern of GaGe2Sb. It was derived from a crystal structure in Alexandria, relaxed with PBE, using a wavelength of 1.5418 Å.
Kinematic intensities with the Lorentz-polarization factor, no thermal factor.

Main lines, by intensity (2θ from 5° to 70°):
- 2θ = 25.69°, I = 100.0
- 2θ = 42.53°, I = 49.7
- 2θ = 50.45°, I = 29.4
- 2θ = 42.65°, I = 24.0
- 2θ = 50.25°, I = 15.6
- 2θ = 67.97°, I = 11.8
- 2θ = 61.89°, I = 7.3
- 2θ = 68.14°, I = 5.6
- 2θ = 34.25°, I = 4.6
- 2θ = 61.53°, I = 4.2

Cell and atoms:
```
data_GaGe2Sb
_symmetry_space_group_name_H-M 'P 1'
_symmetry_Int_Tables_number 1
_symmetry_space_group_name_Hall 'P 1'
_cell_length_a 7.370
_cell_length_b 7.370
_cell_length_c 7.370
_cell_angle_alpha 131.99
_cell_angle_beta 131.99
_cell_angle_gamma 70.25
loop_
_atom_site_label
_atom_site_fract_x
_atom_site_fract_y
_atom_site_fract_z
_atom_site_occupancy
Ga1 0.000 0.000 0.000 1
Ga2 0.750 0.250 0.500 1
Ge1 0.096 0.625 0.971 1
Ge2 0.375 0.346 0.471 1
Ge3 0.654 0.125 0.029 1
Ge4 0.875 0.904 0.529 1
Sb1 0.250 0.750 0.500 1
Sb2 0.500 0.500 0.000 1
```

---

No. 8
The following is a theoretical X-ray diffraction stick pattern of PuThO4. It was derived from a crystal structure in Alexandria, relaxed with PBE, using a wavelength of 1.5418 Å.
Kinematic intensities with the Lorentz-polarization factor, no thermal factor.

Main lines, by intensity (2θ from 5° to 70°):
- 2θ = 28.03°, I = 100.0
- 2θ = 46.59°, I = 49.6
- 2θ = 55.25°, I = 47.5
- 2θ = 32.48°, I = 37.3
- 2θ = 57.94°, I = 10.8
- 2θ = 68.01°, I = 7.9

Cell and atoms:
```
data_PuThO4
_symmetry_space_group_name_H-M 'P 1'
_symmetry_Int_Tables_number 1
_symmetry_space_group_name_Hall 'P 1'
_cell_length_a 6.751
_cell_length_b 6.751
_cell_length_c 6.751
_cell_angle_alpha 131.77
_cell_angle_beta 131.77
_cell_angle_gamma 70.59
loop_
_atom_site_label
_atom_site_fract_x
_atom_site_fract_y
_atom_site_fract_z
_atom_site_occupancy
Pu1 0.375 0.625 0.750 1
Pu2 0.625 0.375 0.250 1
Th1 0.125 0.875 0.250 1
Th2 0.875 0.125 0.750 1
O1 0.000 0.257 0.257 1
O2 0.000 0.743 0.743 1
O3 0.257 0.000 0.757 1
O4 0.257 0.500 0.257 1
O5 0.500 0.257 0.757 1
O6 0.500 0.743 0.243 1
O7 0.743 0.000 0.243 1
O8 0.743 0.500 0.743 1
```

---

No. 9
The following is a theoretical X-ray diffraction stick pattern of RbAu5. It was derived from a crystal structure in Alexandria, relaxed with PBE, using a wavelength of 1.5418 Å.
Kinematic intensities with the Lorentz-polarization factor, no thermal factor.

Main lines, by intensity (2θ from 5° to 70°):
- 2θ = 15.26°, I = 100.0
- 2θ = 37.67°, I = 78.4
- 2θ = 39.51°, I = 49.3
- 2θ = 36.70°, I = 47.9
- 2θ = 29.57°, I = 41.4
- 2θ = 40.81°, I = 33.5
- 2θ = 40.92°, I = 33.2
- 2θ = 53.66°, I = 29.4
- 2θ = 34.74°, I = 25.5
- 2θ = 34.87°, I = 24.5

Cell and atoms:
```
data_RbAu5
_symmetry_space_group_name_H-M 'P 1'
_symmetry_Int_Tables_number 1
_symmetry_space_group_name_Hall 'P 1'
_cell_length_a 5.605
_cell_length_b 4.562
_cell_length_c 5.805
_cell_angle_alpha 90.00
_cell_angle_beta 90.24
_cell_angle_gamma 90.00
loop_
_atom_site_label
_atom_site_fract_x
_atom_site_fract_y
_atom_site_fract_z
_atom_site_occupancy
Rb1 0.000 0.000 0.000 1
Au1 0.000 0.500 0.500 1
Au2 0.263 0.000 0.501 1
Au3 0.500 0.500 0.242 1
Au4 0.500 0.500 0.758 1
Au5 0.737 0.000 0.499 1
```

---

No. 10
The following is a theoretical X-ray diffraction stick pattern of PaTa4O12. It was derived from a crystal structure in Alexandria, relaxed with PBE, using a wavelength of 1.5418 Å.
Kinematic intensities with the Lorentz-polarization factor, no thermal factor.

Main lines, by intensity (2θ from 5° to 70°):
- 2θ = 32.63°, I = 100.0
- 2θ = 22.55°, I = 50.4
- 2θ = 32.10°, I = 49.8
- 2θ = 57.56°, I = 43.8
- 2θ = 16.15°, I = 38.9
- 2θ = 46.03°, I = 30.2
- 2θ = 58.57°, I = 23.4
- 2θ = 23.28°, I = 21.0
- 2θ = 15.89°, I = 20.8
- 2θ = 27.86°, I = 18.3

Cell and atoms:
```
data_PaTa4O12
_symmetry_space_group_name_H-M 'P 1'
_symmetry_Int_Tables_number 1
_symmetry_space_group_name_Hall 'P 1'
_cell_length_a 6.760
_cell_length_b 6.760
_cell_length_c 6.760
_cell_angle_alpha 108.63
_cell_angle_beta 108.63
_cell_angle_gamma 111.17
loop_
_atom_site_label
_atom_site_fract_x
_atom_site_fract_y
_atom_site_fract_z
_atom_site_occupancy
Pa1 0.000 0.000 0.000 1
Ta1 0.000 0.000 0.500 1
Ta2 0.000 0.500 0.000 1
Ta3 0.500 0.000 0.000 1
Ta4 0.500 0.500 0.500 1
O1 0.047 0.807 0.239 1
O2 0.193 0.432 0.239 1
O3 0.193 0.953 0.761 1
O4 0.288 0.288 0.575 1
O5 0.288 0.712 0.000 1
O6 0.432 0.193 0.239 1
O7 0.568 0.807 0.761 1
O8 0.712 0.288 0.000 1
O9 0.712 0.712 0.425 1
O10 0.807 0.047 0.239 1
O11 0.807 0.568 0.761 1
O12 0.953 0.193 0.761 1
```

---

Copy entry 2 word for word.
The following is a theoretical X-ray diffraction stick pattern of Zr4Hg3Au. It was derived from a crystal structure in Alexandria, relaxed with PBE, using a wavelength of 1.5418 Å.
Kinematic intensities with the Lorentz-polarization factor, no thermal factor.

Main lines, by intensity (2θ from 5° to 70°):
- 2θ = 35.45°, I = 100.0
- 2θ = 40.73°, I = 34.2
- 2θ = 59.95°, I = 21.8
- 2θ = 42.02°, I = 15.6
- 2θ = 20.65°, I = 11.8
- 2θ = 28.49°, I = 11.4
- 2θ = 46.09°, I = 6.7
- 2θ = 58.87°, I = 5.8
- 2θ = 59.05°, I = 5.7
- 2θ = 51.55°, I = 4.9

Cell and atoms:
```
data_Zr4Hg3Au
_symmetry_space_group_name_H-M 'P 1'
_symmetry_Int_Tables_number 1
_symmetry_space_group_name_Hall 'P 1'
_cell_length_a 9.155
_cell_length_b 9.152
_cell_length_c 4.431
_cell_angle_alpha 76.03
_cell_angle_beta 75.96
_cell_angle_gamma 28.01
loop_
_atom_site_label
_atom_site_fract_x
_atom_site_fract_y
_atom_site_fract_z
_atom_site_occupancy
Zr1 0.123 0.123 0.377 1
Zr2 0.377 0.377 0.123 1
Zr3 0.623 0.623 0.877 1
Zr4 0.877 0.877 0.623 1
Hg1 0.000 0.000 0.000 1
Hg2 0.250 0.250 0.750 1
Hg3 0.750 0.750 0.250 1
Au1 0.500 0.500 0.500 1
```

---

What is the formula in the fifth record? InPd4Pb